The following is a simulated XRD peak list of Ac4ZnPt3. It was derived from a DFT-relaxed cell (PBE, Alexandria), using CuKα.
Kinematic intensities with the Lorentz-polarization factor, no thermal factor.

```
data_Ac4ZnPt3
_chemical_formula_sum 'Ac4 Zn1 Pt3'
_symmetry_space_group_name_H-M 'P m m 2'
_symmetry_Int_Tables_number 25
_cell_length_a 4.1862
_cell_length_b 4.7010
_cell_length_c 11.6546
_cell_angle_alpha 90.00
_cell_angle_beta 90.00
_cell_angle_gamma 90.00
loop_
_symmetry_equiv_pos_as_xyz
'x,y,z'
'-x,-y,z'
'-x,y,z'
'x,-y,z'
loop_
_atom_site_label
_atom_site_type_symbol
_atom_site_fract_x
_atom_site_fract_y
_atom_site_fract_z
Ac1 Ac 0.0000 0.0000 0.0000
Ac2 Ac 0.0000 0.5000 0.2626
Ac3 Ac 0.5000 0.0000 0.4851
Ac4 Ac 0.5000 0.5000 0.7665
Zn1 Zn 0.0000 0.0000 0.6985
Pt1 Pt 0.0000 0.5000 0.5558
Pt2 Pt 0.5000 0.0000 0.2200
Pt3 Pt 0.5000 0.5000 0.0379
```

Peak list (10 most intense, 2θ = 15–90°, sorted by position)
2θ 29.6, I 100, hkl 1 1 1
2θ 30.7, I 31, hkl 0 0 4
2θ 31.4, I 24, hkl 1 0 3
2θ 36.3, I 18, hkl 0 1 4
2θ 36.9, I 71, hkl 1 1 3
2θ 38.3, I 30, hkl 0 2 0
2θ 43.2, I 22, hkl 2 0 0
2θ 49.8, I 17, hkl 0 2 4
2θ 59.1, I 17, hkl 2 2 0
2θ 73.2, I 14, hkl 1 2 7